No. 1
For PrDy2ReN4, the PBE geometry in Alexandria gives the theoretical powder diffractogram in this record (Cu Kα X-rays).
No peak broadening, texture or thermal motion is included.

```
PrDy2ReN4
1.0
1.743 -5.893 0.000
1.743 5.893 0.000
0.000 0.000 11.643
Pr Dy Re N
2 4 2 8
Direct
0.116 0.884 0.750
0.884 0.116 0.250
0.369 0.631 0.539
0.369 0.631 0.961
0.631 0.369 0.039
0.631 0.369 0.461
0.146 0.854 0.250
0.854 0.146 0.750
0.000 0.000 0.000
0.000 0.000 0.500
0.263 0.737 0.127
0.263 0.737 0.373
0.436 0.564 0.750
0.564 0.436 0.250
0.737 0.263 0.627
0.737 0.263 0.873
```

Largest 10 diffraction maxima, in order of rising 2θ, 10 to 90 degrees two-theta:
| 2θ (°) | I_rel |
| --- | --- |
| 16.9 | 22 |
| 30.3 | 59 |
| 30.7 | 44 |
| 30.8 | 100 |
| 37.8 | 96 |
| 41.7 | 21 |
| 43.7 | 31 |
| 52.5 | 34 |
| 63.4 | 21 |
| 70.6 | 21 |


No. 2
For MnFeHPd2, the PBE geometry in Alexandria gives the theoretical powder diffractogram in this record (Cu Kα X-rays).
No peak broadening, texture or thermal motion is included.

```
MnFeHPd2
1.0
3.933 0.000 0.000
0.000 3.933 0.000
0.000 0.000 3.893
Mn Fe H Pd
1 1 1 2
Direct
0.000 0.000 0.000
0.500 0.500 0.000
0.500 0.500 0.500
0.000 0.500 0.500
0.500 0.000 0.500
```

Largest 10 diffraction maxima, in order of rising 2θ, 10 to 90 degrees two-theta:
| 2θ (°) | I_rel |
| --- | --- |
| 22.8 | 10 |
| 32.2 | 8 |
| 39.8 | 100 |
| 46.2 | 33 |
| 46.7 | 16 |
| 67.3 | 10 |
| 67.7 | 20 |
| 81.2 | 23 |
| 81.9 | 11 |
| 85.9 | 10 |


No. 3
For Pm3Pr2Se4, the PBE geometry in Alexandria gives the theoretical powder diffractogram in this record (Cu Kα X-rays).
No peak broadening, texture or thermal motion is included.

```
Pm3Pr2Se4
1.0
6.944 -2.087 0.000
6.944 2.087 0.000
-4.954 0.000 8.897
Pm Pr Se
3 2 4
Direct
0.000 0.000 0.000
0.203 0.203 0.799
0.797 0.797 0.201
0.403 0.403 0.598
0.597 0.597 0.402
0.198 0.198 0.300
0.397 0.397 0.098
0.603 0.603 0.902
0.802 0.802 0.700
```

Largest 10 diffraction maxima, in order of rising 2θ, 10 to 90 degrees two-theta:
| 2θ (°) | I_rel |
| --- | --- |
| 26.1 | 33 |
| 30.1 | 51 |
| 30.3 | 100 |
| 43.1 | 38 |
| 43.4 | 74 |
| 53.7 | 20 |
| 63.0 | 12 |
| 71.4 | 17 |
| 71.6 | 16 |
| 79.3 | 12 |


No. 4
For Pm5DyHo8, the PBE geometry in Alexandria gives the theoretical powder diffractogram in this record (Cu Kα X-rays).
No peak broadening, texture or thermal motion is included.

```
Pm5DyHo8
1.0
-4.794 4.794 5.040
4.794 -4.794 5.040
4.794 4.794 -5.040
Pm Dy Ho
5 1 8
Direct
0.000 0.000 0.000
0.311 0.635 0.103
0.365 0.469 0.676
0.531 0.208 0.897
0.792 0.689 0.324
0.750 0.250 0.500
0.023 0.420 0.255
0.072 0.161 0.737
0.165 0.769 0.745
0.231 0.977 0.396
0.423 0.334 0.263
0.580 0.835 0.604
0.666 0.928 0.089
0.839 0.577 0.911
```

Largest 10 diffraction maxima, in order of rising 2θ, 10 to 90 degrees two-theta:
| 2θ (°) | I_rel |
| --- | --- |
| 28.1 | 68 |
| 29.3 | 71 |
| 29.5 | 83 |
| 31.8 | 24 |
| 33.9 | 100 |
| 34.5 | 54 |
| 34.9 | 58 |
| 55.1 | 18 |
| 59.3 | 18 |
| 63.3 | 22 |


No. 5
For LiP2F8, the PBE geometry in Alexandria gives the theoretical powder diffractogram in this record (Cu Kα X-rays).
No peak broadening, texture or thermal motion is included.

```
LiP2F8
1.0
4.591 -3.938 0.000
4.591 3.938 0.000
-0.298 0.000 4.694
Li P F
1 2 8
Direct
0.000 0.000 0.000
0.259 0.259 0.438
0.741 0.741 0.562
0.015 0.320 0.278
0.129 0.129 0.705
0.320 0.015 0.278
0.384 0.384 0.199
0.616 0.616 0.801
0.680 0.985 0.722
0.871 0.871 0.295
0.985 0.680 0.722
```

Largest 10 diffraction maxima, in order of rising 2θ, 10 to 90 degrees two-theta:
| 2θ (°) | I_rel |
| --- | --- |
| 14.8 | 19 |
| 18.9 | 46 |
| 19.4 | 93 |
| 22.6 | 100 |
| 23.6 | 28 |
| 24.6 | 59 |
| 28.1 | 26 |
| 36.3 | 94 |
| 48.8 | 26 |
| 54.8 | 31 |


No. 6
For Pm3Pu2NpN6, the PBE geometry in Alexandria gives the theoretical powder diffractogram in this record (Cu Kα X-rays).
No peak broadening, texture or thermal motion is included.

```
Pm3Pu2NpN6
1.0
3.058 -5.297 0.000
3.058 5.297 0.000
-2.039 0.000 5.760
Pm Pu Np N
3 2 1 6
Direct
0.000 0.000 0.000
0.332 0.668 0.000
0.668 0.332 0.000
0.166 0.834 0.500
0.834 0.166 0.500
0.500 0.500 0.500
0.101 0.425 0.276
0.251 0.251 0.725
0.425 0.101 0.276
0.575 0.899 0.724
0.749 0.749 0.275
0.899 0.575 0.724
```

Largest 10 diffraction maxima, in order of rising 2θ, 10 to 90 degrees two-theta:
| 2θ (°) | I_rel |
| --- | --- |
| 15.4 | 8 |
| 31.0 | 100 |
| 36.0 | 68 |
| 51.8 | 47 |
| 61.6 | 46 |
| 64.7 | 16 |
| 76.3 | 8 |
| 84.6 | 10 |
| 84.7 | 10 |
| 87.4 | 22 |


No. 7
For La2I2NF, the PBE geometry in Alexandria gives the theoretical powder diffractogram in this record (Cu Kα X-rays).
No peak broadening, texture or thermal motion is included.

```
La2I2NF
1.0
-3.021 9.920 2.973
3.021 -9.920 2.973
3.021 9.920 -2.973
La I N F
4 4 2 2
Direct
0.063 0.215 0.278
0.437 0.715 0.152
0.563 0.285 0.848
0.937 0.785 0.722
0.157 0.745 0.902
0.343 0.245 0.589
0.657 0.755 0.411
0.843 0.255 0.098
0.250 0.250 0.000
0.750 0.750 0.000
0.250 0.750 0.500
0.750 0.250 0.500
```

Largest 10 diffraction maxima, in order of rising 2θ, 10 to 90 degrees two-theta:
| 2θ (°) | I_rel |
| --- | --- |
| 17.9 | 7 |
| 27.7 | 100 |
| 29.6 | 23 |
| 30.1 | 24 |
| 34.4 | 22 |
| 42.2 | 11 |
| 42.7 | 22 |
| 51.3 | 14 |
| 51.9 | 17 |
| 55.7 | 7 |


No. 8
For La8PmTm3, the PBE geometry in Alexandria gives the theoretical powder diffractogram in this record (Cu Kα X-rays).
No peak broadening, texture or thermal motion is included.

```
La8PmTm3
1.0
6.415 0.000 0.000
3.184 8.135 0.000
3.195 0.421 8.135
La Pm Tm
8 1 3
Direct
0.000 0.000 0.000
0.000 0.327 0.674
0.099 0.243 0.250
0.099 0.574 0.921
0.506 0.500 0.500
0.506 0.828 0.173
0.593 0.079 0.427
0.593 0.749 0.756
0.016 0.664 0.337
0.088 0.913 0.590
0.512 0.163 0.837
0.590 0.410 0.087
```

Largest 10 diffraction maxima, in order of rising 2θ, 10 to 90 degrees two-theta:
| 2θ (°) | I_rel |
| --- | --- |
| 27.6 | 23 |
| 27.8 | 12 |
| 30.3 | 37 |
| 31.6 | 100 |
| 31.8 | 48 |
| 49.1 | 19 |
| 54.6 | 21 |
| 58.5 | 11 |
| 58.7 | 11 |
| 59.3 | 12 |


No. 9
For LiCaFe, the PBE geometry in Alexandria gives the theoretical powder diffractogram in this record (Cu Kα X-rays).
No peak broadening, texture or thermal motion is included.

```
LiCaFe
1.0
5.539 -1.943 0.000
5.539 1.943 0.000
-0.027 0.000 5.981
Li Ca Fe
2 2 2
Direct
0.000 0.000 0.000
0.572 0.572 0.702
0.309 0.309 0.724
0.705 0.705 0.243
0.426 0.426 0.267
0.983 0.983 0.450
```

Largest 10 diffraction maxima, in order of rising 2θ, 10 to 90 degrees two-theta:
| 2θ (°) | I_rel |
| --- | --- |
| 14.8 | 100 |
| 16.0 | 44 |
| 21.9 | 44 |
| 28.5 | 46 |
| 33.5 | 45 |
| 34.0 | 22 |
| 35.7 | 43 |
| 36.8 | 58 |
| 38.9 | 72 |
| 46.7 | 23 |


No. 10
For La5NdY3, the PBE geometry in Alexandria gives the theoretical powder diffractogram in this record (Cu Kα X-rays).
No peak broadening, texture or thermal motion is included.

```
La5NdY3
1.0
9.516 -3.299 0.000
9.516 3.299 0.000
-4.789 0.000 10.497
La Nd Y
10 2 6
Direct
0.033 0.627 0.287
0.093 0.907 0.750
0.153 0.508 0.639
0.373 0.967 0.213
0.492 0.847 0.861
0.508 0.153 0.139
0.627 0.033 0.787
0.847 0.492 0.361
0.907 0.093 0.250
0.967 0.373 0.713
0.365 0.635 0.250
0.635 0.365 0.750
0.047 0.634 0.985
0.366 0.953 0.515
0.500 0.500 0.000
0.500 0.500 0.500
0.634 0.047 0.485
0.953 0.366 0.015
```

Largest 10 diffraction maxima, in order of rising 2θ, 10 to 90 degrees two-theta:
| 2θ (°) | I_rel |
| --- | --- |
| 16.9 | 18 |
| 27.3 | 15 |
| 29.0 | 25 |
| 31.0 | 100 |
| 31.2 | 47 |
| 31.4 | 32 |
| 33.0 | 24 |
| 34.2 | 18 |
| 37.3 | 12 |
| 41.5 | 12 |


No. 11
For PmGe6Te8, the PBE geometry in Alexandria gives the theoretical powder diffractogram in this record (Cu Kα X-rays).
No peak broadening, texture or thermal motion is included.

```
PmGe6Te8
1.0
5.004 2.889 5.703
-5.004 2.889 5.703
0.000 -5.778 5.703
Pm Ge Te
1 6 8
Direct
0.000 0.000 0.000
0.113 0.590 0.364
0.364 0.113 0.590
0.410 0.636 0.887
0.590 0.364 0.113
0.636 0.887 0.410
0.887 0.410 0.636
0.155 0.334 0.810
0.190 0.845 0.666
0.271 0.271 0.271
0.334 0.810 0.155
0.666 0.190 0.845
0.729 0.729 0.729
0.810 0.155 0.334
0.845 0.666 0.190
```

Largest 10 diffraction maxima, in order of rising 2θ, 10 to 90 degrees two-theta:
| 2θ (°) | I_rel |
| --- | --- |
| 15.5 | 34 |
| 23.0 | 39 |
| 23.7 | 63 |
| 29.2 | 88 |
| 29.3 | 100 |
| 31.0 | 50 |
| 34.5 | 46 |
| 37.8 | 33 |
| 46.3 | 43 |
| 46.9 | 37 |


No. 12
For Cs2AsSBr6, the PBE geometry in Alexandria gives the theoretical powder diffractogram in this record (Cu Kα X-rays).
No peak broadening, texture or thermal motion is included.

```
Cs2AsSBr6
1.0
-3.974 3.974 5.319
3.974 -3.974 5.319
3.974 3.974 -5.319
Cs As S Br
2 1 1 6
Direct
0.250 0.750 0.500
0.750 0.250 0.500
0.000 0.000 0.000
0.500 0.500 0.000
0.236 0.236 0.473
0.236 0.764 0.000
0.254 0.254 0.000
0.746 0.746 0.000
0.764 0.236 0.000
0.764 0.764 0.527
```

Largest 10 diffraction maxima, in order of rising 2θ, 10 to 90 degrees two-theta:
| 2θ (°) | I_rel |
| --- | --- |
| 23.0 | 18 |
| 28.0 | 100 |
| 31.8 | 64 |
| 33.7 | 28 |
| 45.7 | 22 |
| 47.0 | 42 |
| 54.4 | 29 |
| 56.9 | 13 |
| 57.9 | 22 |
| 85.5 | 14 |